(1)
For La2PuSe2O2, a cell relaxed with PBE gives the calculated X-ray diffraction stick pattern in this record (Cu Ka).

Peak list (12 most intense, 10° ≤ 2θ ≤ 90°, in order of rising 2θ)
| 2θ/deg | Rel. int. |
| --- | --- |
| 11.00 | 22 |
| 26.27 | 55 |
| 28.83 | 100 |
| 33.42 | 20 |
| 34.59 | 78 |
| 41.22 | 47 |
| 44.70 | 27 |
| 49.54 | 21 |
| 54.06 | 20 |
| 54.87 | 42 |
| 67.52 | 19 |
| 82.26 | 23 |

```
La2PuSe2O2
1.0
4.380 0.000 0.000
0.000 4.380 0.000
0.000 0.000 16.089
La Pu Se O
4 2 4 4
Direct
0.000 0.000 0.133
0.000 0.000 0.867
0.500 0.500 0.367
0.500 0.500 0.633
0.000 0.000 0.500
0.500 0.500 0.000
0.000 0.000 0.321
0.000 0.000 0.679
0.500 0.500 0.179
0.500 0.500 0.821
0.000 0.500 0.000
0.000 0.500 0.500
0.500 0.000 0.000
0.500 0.000 0.500
```



(2)
For Fe3Co5, a cell relaxed with PBE gives the calculated X-ray diffraction stick pattern in this record (Cu Ka).

Peak list (7 most intense, 10° ≤ 2θ ≤ 90°, in order of rising 2θ)
| 2θ/deg | Rel. int. |
| --- | --- |
| 45.23 | 100 |
| 45.40 | 20 |
| 65.69 | 6 |
| 66.06 | 12 |
| 83.42 | 12 |
| 83.59 | 11 |
| 83.76 | 11 |

```
Fe3Co5
1.0
4.912 0.000 0.000
0.000 7.991 0.000
-1.621 0.000 4.636
Fe Co
6 10
Direct
0.000 0.000 0.000
0.247 0.251 0.251
0.253 0.751 0.749
0.500 0.500 0.000
0.747 0.751 0.251
0.753 0.251 0.749
0.000 0.499 0.000
0.000 0.508 0.500
0.000 0.997 0.500
0.249 0.752 0.249
0.251 0.252 0.751
0.500 0.008 0.500
0.500 0.497 0.500
0.500 0.999 0.000
0.749 0.252 0.249
0.751 0.752 0.751
```



(3)
For LaErSiPd, a cell relaxed with PBE gives the calculated X-ray diffraction stick pattern in this record (Cu Ka).

Peak list (12 most intense, 10° ≤ 2θ ≤ 90°, in order of rising 2θ)
| 2θ/deg | Rel. int. |
| --- | --- |
| 21.35 | 9 |
| 24.70 | 17 |
| 35.22 | 100 |
| 41.56 | 5 |
| 43.50 | 5 |
| 50.66 | 18 |
| 55.58 | 2 |
| 57.15 | 7 |
| 63.20 | 36 |
| 74.47 | 11 |
| 79.85 | 3 |
| 85.14 | 16 |

```
LaErSiPd
1.0
7.208 0.000 0.000
0.000 7.208 0.000
0.000 0.000 7.208
La Er Si Pd
4 4 4 4
Direct
0.000 0.000 0.000
0.000 0.500 0.500
0.500 0.000 0.500
0.500 0.500 0.000
0.000 0.000 0.500
0.000 0.500 0.000
0.500 0.000 0.000
0.500 0.500 0.500
0.250 0.250 0.750
0.250 0.750 0.250
0.750 0.250 0.250
0.750 0.750 0.750
0.250 0.250 0.250
0.250 0.750 0.750
0.750 0.250 0.750
0.750 0.750 0.250
```



(4)
For Cu5Ge2Pd12, a cell relaxed with PBE gives the calculated X-ray diffraction stick pattern in this record (Cu Ka).

Peak list (12 most intense, 10° ≤ 2θ ≤ 90°, in order of rising 2θ)
| 2θ/deg | Rel. int. |
| --- | --- |
| 34.18 | 9 |
| 40.72 | 100 |
| 40.85 | 77 |
| 43.55 | 40 |
| 46.39 | 25 |
| 51.65 | 10 |
| 52.09 | 18 |
| 65.51 | 14 |
| 70.17 | 14 |
| 78.01 | 14 |
| 78.10 | 10 |
| 88.52 | 7 |

```
Cu5Ge2Pd12
1.0
6.136 -4.157 0.000
6.136 4.157 0.000
-0.346 0.000 5.600
Cu Ge Pd
5 2 12
Direct
0.000 0.000 0.000
0.235 0.235 0.014
0.321 0.321 0.603
0.679 0.679 0.397
0.765 0.765 0.986
0.245 0.755 0.500
0.755 0.245 0.500
0.061 0.558 0.302
0.117 0.117 0.412
0.167 0.631 0.880
0.369 0.833 0.120
0.442 0.939 0.698
0.455 0.455 0.241
0.545 0.545 0.759
0.558 0.061 0.302
0.631 0.167 0.880
0.833 0.369 0.120
0.883 0.883 0.588
0.939 0.442 0.698
```



(5)
For Ce2Bi4Pb, a cell relaxed with PBE gives the calculated X-ray diffraction stick pattern in this record (Cu Ka).

Peak list (12 most intense, 10° ≤ 2θ ≤ 90°, in order of rising 2θ)
| 2θ/deg | Rel. int. |
| --- | --- |
| 21.00 | 10 |
| 24.96 | 17 |
| 31.15 | 18 |
| 31.88 | 100 |
| 37.02 | 15 |
| 39.61 | 32 |
| 51.22 | 18 |
| 51.81 | 8 |
| 55.33 | 10 |
| 57.26 | 11 |
| 66.63 | 8 |
| 67.06 | 32 |

```
Ce2Bi4Pb
1.0
4.551 0.000 0.000
0.000 4.551 0.000
0.000 0.000 11.485
Ce Bi Pb
2 4 1
Direct
0.000 0.500 0.222
0.500 0.000 0.778
0.000 0.000 0.000
0.000 0.500 0.706
0.500 0.000 0.294
0.500 0.500 0.000
0.000 0.000 0.500
```



(6)
For Sr2CaAlO5, a cell relaxed with PBE gives the calculated X-ray diffraction stick pattern in this record (Cu Ka).

Peak list (12 most intense, 10° ≤ 2θ ≤ 90°, in order of rising 2θ)
| 2θ/deg | Rel. int. |
| --- | --- |
| 26.29 | 34 |
| 27.56 | 23 |
| 28.21 | 59 |
| 31.22 | 55 |
| 32.37 | 33 |
| 36.56 | 100 |
| 40.73 | 17 |
| 44.29 | 17 |
| 45.55 | 21 |
| 52.37 | 21 |
| 54.79 | 23 |
| 60.55 | 14 |

```
Sr2CaAlO5
1.0
1.747 -6.792 0.000
1.747 6.792 0.000
0.000 0.000 10.724
Sr Ca Al O
4 2 2 10
Direct
0.107 0.893 0.500
0.145 0.855 0.128
0.855 0.145 0.628
0.893 0.107 0.000
0.202 0.798 0.837
0.798 0.202 0.337
0.486 0.514 0.273
0.514 0.486 0.773
0.031 0.969 0.833
0.288 0.712 0.483
0.347 0.653 0.201
0.376 0.624 0.811
0.497 0.503 0.604
0.503 0.497 0.104
0.624 0.376 0.311
0.653 0.347 0.701
0.712 0.288 0.983
0.969 0.031 0.333
```



Copy entry 1 word for word.
For La2PuSe2O2, a cell relaxed with PBE gives the calculated X-ray diffraction stick pattern in this record (Cu Ka).

Peak list (12 most intense, 10° ≤ 2θ ≤ 90°, in order of rising 2θ)
| 2θ/deg | Rel. int. |
| --- | --- |
| 11.00 | 22 |
| 26.27 | 55 |
| 28.83 | 100 |
| 33.42 | 20 |
| 34.59 | 78 |
| 41.22 | 47 |
| 44.70 | 27 |
| 49.54 | 21 |
| 54.06 | 20 |
| 54.87 | 42 |
| 67.52 | 19 |
| 82.26 | 23 |

```
La2PuSe2O2
1.0
4.380 0.000 0.000
0.000 4.380 0.000
0.000 0.000 16.089
La Pu Se O
4 2 4 4
Direct
0.000 0.000 0.133
0.000 0.000 0.867
0.500 0.500 0.367
0.500 0.500 0.633
0.000 0.000 0.500
0.500 0.500 0.000
0.000 0.000 0.321
0.000 0.000 0.679
0.500 0.500 0.179
0.500 0.500 0.821
0.000 0.500 0.000
0.000 0.500 0.500
0.500 0.000 0.000
0.500 0.000 0.500
```